Theoretical powder diffractogram
Compound: Bi8Rh8O27
Radiation: Cu Kα, 1.54184 Å
Structure: a cell relaxed with PBE

Main lines, by angle (2θ from 10° to 90°):
- 14.85°, I = 9.6
- 29.95°, I = 100.0
- 34.72°, I = 36.3
- 37.95°, I = 7.6
- 49.92°, I = 45.0
- 59.31°, I = 43.5
- 62.24°, I = 10.7
- 73.28°, I = 6.7
- 81.13°, I = 17.9
- 83.70°, I = 15.1

Structural model:
Unit cell a=7.3103 b=7.3103 c=35.7748 alpha=90.00 beta=90.00 gamma=120.00
Space group R3m (No. 160, hexagonal axes)
Inequivalent atoms, fractional coordinates:
Bi1 0.0000 0.0000 0.0000 [3 per cell]
Bi2 0.0000 0.0000 0.4951 [3 per cell]
Bi3 0.0006 0.5003 0.2480 [9 per cell]
Bi4 0.1712 0.3424 0.0841 [9 per cell]
Rh1 0.0000 0.0000 0.2490 [3 per cell]
Rh2 0.0000 0.0000 0.7483 [3 per cell]
Rh3 0.1671 0.3342 0.8325 [9 per cell]
Rh4 0.1679 0.3358 0.3324 [9 per cell]
O1 0.0000 0.0000 0.0677 [3 per cell]
O2 0.0000 0.0000 0.5550 [3 per cell]
O3 0.0000 0.0000 0.9373 [3 per cell]
O4 0.0495 0.5247 0.4427 [9 per cell]
O5 0.0562 0.5281 0.8191 [9 per cell]
O6 0.0561 0.5281 0.9434 [9 per cell]
O7 0.0568 0.5284 0.3183 [9 per cell]
O8 0.1930 0.3859 0.5122 [9 per cell]
O9 0.1933 0.3865 0.0142 [9 per cell]
O10 0.1936 0.3872 0.8879 [9 per cell]
O11 0.1959 0.3918 0.3877 [9 per cell]